1.
Calculated powder diffraction line list of Li4ZnGa2Ir for Cu Kα (weighted mean of Kα1 and Kα2), from a cell relaxed with PBE.
Peak positions follow from Bragg's law for the DFT cell and can differ from measured ones.

```
data_Li4ZnGa2Ir
_chemical_formula_sum 'Li4 Zn1 Ga2 Ir1'
_cell_length_a 4.285
_cell_length_b 4.285
_cell_length_c 6.083
_cell_angle_alpha 90.00
_cell_angle_beta 90.00
_cell_angle_gamma 90.00
_space_group_name_H-M_alt 'P -4 m 2'
_space_group_IT_number 115
loop_
_space_group_symop_operation_xyz
'x,y,z'
'y,-x,-z'
'-x,-y,z'
'-y,x,-z'
'-x,y,z'
'-y,-x,-z'
'x,-y,z'
'y,x,-z'
loop_
_atom_site_label
_atom_site_fract_x
_atom_site_fract_y
_atom_site_fract_z
Li1 0.000 0.000 0.000
Li2 0.000 0.500 0.749
Li3 0.500 0.500 0.500
Zn1 0.500 0.500 0.000
Ga1 0.000 0.500 0.270
Ir1 0.000 0.000 0.500
```

Principal peaks in the range 5 to 70 degrees two-theta, in order of falling intensity:
h k l	d [Å]	2θ (°)	I (rel.)
1 0 1	3.503	25.43	100
2 0 0	2.145	42.13	88
2 1 1	1.828	49.90	32
0 0 1	6.083	14.56	20
1 0 3	1.833	49.75	16
1 0 0	4.285	20.73	14
2 1 3	1.393	67.22	13
2 2 0	1.515	61.18	10
1 0 2	2.480	36.22	7
3 0 1	1.390	67.35	6
1 1 1	2.712	33.03	6
1 1 0	3.030	29.48	5

2.
Calculated powder diffraction line list of Li2ZrZnGa2Ir2 for Cu Kα (weighted mean of Kα1 and Kα2), from a cell relaxed with PBE.
Peak positions follow from Bragg's law for the DFT cell and can differ from measured ones.

```
data_Li2ZrZnGa2Ir2
_chemical_formula_sum 'Li2 Zr1 Zn1 Ga2 Ir2'
_cell_length_a 4.376
_cell_length_b 4.376
_cell_length_c 6.230
_cell_angle_alpha 90.00
_cell_angle_beta 90.00
_cell_angle_gamma 90.00
_space_group_name_H-M_alt 'P -4 m 2'
_space_group_IT_number 115
loop_
_space_group_symop_operation_xyz
'x,y,z'
'y,-x,-z'
'-x,-y,z'
'-y,x,-z'
'-x,y,z'
'-y,-x,-z'
'x,-y,z'
'y,x,-z'
loop_
_atom_site_label
_atom_site_fract_x
_atom_site_fract_y
_atom_site_fract_z
Li1 0.000 0.500 0.217
Zr1 0.500 0.500 0.500
Zn1 0.000 0.000 0.000
Ga1 0.000 0.000 0.500
Ga2 0.500 0.500 0.000
Ir1 0.000 0.500 0.754
```

Principal peaks in the range 5 to 70 degrees two-theta, in order of falling intensity:
h k l	d [Å]	2θ (°)	I (rel.)
1 0 1	3.581	24.87	100
1 1 2	2.195	41.12	97
2 0 0	2.188	41.27	48
2 1 1	1.867	48.78	33
1 0 3	1.876	48.53	17
2 2 0	1.547	59.78	16
2 1 3	1.424	65.55	14
0 0 4	1.557	59.34	8
3 0 1	1.420	65.76	7
1 1 0	3.094	28.86	1
2 0 2	1.790	51.01	1
0 0 2	3.115	28.66	1

3.
Calculated powder diffraction line list of PrLuGa4Ir2 for Cu Kα (weighted mean of Kα1 and Kα2), from a cell relaxed with PBE.
Peak positions follow from Bragg's law for the DFT cell and can differ from measured ones.

```
data_PrLuGa4Ir2
_chemical_formula_sum 'Pr1 Lu1 Ga4 Ir2'
_cell_length_a 4.229
_cell_length_b 7.119
_cell_length_c 5.515
_cell_angle_alpha 90.00
_cell_angle_beta 112.33
_cell_angle_gamma 90.00
_space_group_name_H-M_alt 'P 1 m 1'
_space_group_IT_number 6
loop_
_space_group_symop_operation_xyz
'x,y,z'
'x,-y,z'
loop_
_atom_site_label
_atom_site_fract_x
_atom_site_fract_y
_atom_site_fract_z
Pr1 0.000 0.000 0.000
Lu1 0.854 0.500 0.709
Ga1 0.286 0.201 0.571
Ga2 0.571 0.308 0.144
Ir1 0.137 0.500 0.277
Ir2 0.717 0.000 0.432
```

Principal peaks in the range 5 to 70 degrees two-theta, in order of falling intensity:
h k l	d [Å]	2θ (°)	I (rel.)
1 2 0	2.631	34.07	100
1 1 1	2.488	36.11	63
0 1 2	2.401	37.45	63
1 1 -2	2.480	36.23	63
2 0 -1	2.114	42.77	49
0 2 0	3.560	25.02	44
1 3 -1	2.028	44.68	32
1 3 -2	1.768	51.71	27
0 0 1	5.101	17.38	21
1 0 0	3.907	22.76	19
2 1 1	1.590	58.02	18
2 1 -3	1.584	58.25	18